Diffraction record for TbAlHg2. The X-ray diffraction stick pattern is simulated, not measured: it uses DFT lattice parameters and positions (GGA-PBE) and Cu Ka.
Intensities are scaled so that the largest is 100.

Main lines, in order of rising 2θ (2θ from 5° to 70°):
two_theta, I (rel.)
31.5, 35
36.6, 100
36.9, 55
37.1, 33
49.4, 20
56.3, 19
66.6, 18
69.4, 27

Crystal structure
```
TbAlHg2
1.0
4.844 0.000 0.000
0.000 3.292 5.642
0.000 -3.292 5.642
Tb Al Hg
2 2 4
direct
0.000 0.000 0.000
0.500 0.334 0.334
0.000 0.518 0.968
0.000 0.968 0.518
0.000 0.499 0.499
0.500 0.343 0.845
0.500 0.832 0.832
0.500 0.845 0.343
```